(1)
Diffraction record for K4Nb15O24. The XRD peak list is theoretical, not measured: it uses a cell relaxed with GGA-PBE and λ = 1.5418 Å (Cu Kα).
Neutral-atom scattering factors, no anomalous dispersion.

Top 10 peaks for 2θ from 10° to 90°, low angle first:
10.49°, I = 94
21.47°, I = 45
30.08°, I = 82
30.27°, I = 54
32.21°, I = 100
37.26°, I = 66
42.91°, I = 54
43.21°, I = 56
43.75°, I = 53
63.18°, I = 32

Atomic structure:
```
data_K4Nb15O24
_cell_length_a 9.342
_cell_length_b 9.342
_cell_length_c 9.415
_cell_angle_alpha 113.53
_cell_angle_beta 113.53
_cell_angle_gamma 52.58
_space_group_name_H-M_alt 'P 1'
_space_group_IT_number 1
_space_group_name_Hall 'P 1'
loop_
_atom_site_label
_atom_site_fract_x
_atom_site_fract_y
_atom_site_fract_z
K1 0.000 0.000 0.000
K2 0.248 0.248 0.997
K3 0.500 0.500 0.000
K4 0.752 0.752 0.003
Nb1 0.000 0.000 0.500
Nb2 0.062 0.563 0.751
Nb3 0.130 0.617 0.500
Nb4 0.192 0.674 0.232
Nb5 0.247 0.247 0.500
Nb6 0.326 0.808 0.768
Nb7 0.383 0.870 0.500
Nb8 0.437 0.938 0.249
Nb9 0.563 0.062 0.751
Nb10 0.617 0.130 0.500
Nb11 0.674 0.192 0.232
Nb12 0.753 0.753 0.500
Nb13 0.808 0.326 0.768
Nb14 0.870 0.383 0.500
Nb15 0.938 0.437 0.249
O1 0.063 0.063 0.753
O2 0.066 0.560 0.248
O3 0.121 0.630 0.001
O4 0.124 0.124 0.500
O5 0.186 0.186 0.248
O6 0.192 0.686 0.753
O7 0.312 0.312 0.753
O8 0.314 0.808 0.247
O9 0.370 0.879 0.999
O10 0.374 0.374 0.500
O11 0.435 0.435 0.240
O12 0.440 0.934 0.752
O13 0.560 0.066 0.248
O14 0.565 0.565 0.760
O15 0.626 0.626 0.500
O16 0.630 0.121 0.001
O17 0.686 0.192 0.753
O18 0.688 0.688 0.247
O19 0.808 0.314 0.247
O20 0.814 0.814 0.752
O21 0.876 0.876 0.500
O22 0.879 0.370 0.999
O23 0.934 0.440 0.752
O24 0.937 0.937 0.247
```

(2)
Diffraction record for KNbO3. The XRD peak list is theoretical, not measured: it uses a cell relaxed with GGA-PBE and λ = 1.5418 Å (Cu Kα).
Neutral-atom scattering factors, no anomalous dispersion.

Top 10 peaks for 2θ from 10° to 90°, low angle first:
21.91°, I = 45
31.17°, I = 100
44.67°, I = 41
50.28°, I = 18
55.47°, I = 37
65.01°, I = 24
69.50°, I = 8
73.86°, I = 16
82.32°, I = 8
86.48°, I = 4

Atomic structure:
```
data_KNbO3
_cell_length_a 4.057
_cell_length_b 4.057
_cell_length_c 4.057
_cell_angle_alpha 90.00
_cell_angle_beta 90.00
_cell_angle_gamma 90.00
_space_group_name_H-M_alt 'P 1'
_space_group_IT_number 1
_space_group_name_Hall 'P 1'
loop_
_atom_site_label
_atom_site_fract_x
_atom_site_fract_y
_atom_site_fract_z
K1 0.000 0.000 0.000
Nb1 0.500 0.500 0.500
O1 0.000 0.500 0.500
O2 0.500 0.000 0.500
O3 0.500 0.500 0.000
```

(3)
Diffraction record for KNb8O14. The XRD peak list is theoretical, not measured: it uses a cell relaxed with GGA-PBE and λ = 1.5418 Å (Cu Kα).
Neutral-atom scattering factors, no anomalous dispersion.

Top 10 peaks for 2θ from 10° to 90°, low angle first:
12.63°, I = 85
25.44°, I = 94
31.28°, I = 54
31.99°, I = 39
32.51°, I = 37
35.86°, I = 65
45.19°, I = 100
50.32°, I = 39
52.25°, I = 36
61.91°, I = 50

Atomic structure:
```
data_KNb8O14
_cell_length_a 9.487
_cell_length_b 10.393
_cell_length_c 5.990
_cell_angle_alpha 90.00
_cell_angle_beta 90.00
_cell_angle_gamma 90.00
_space_group_name_H-M_alt 'P 1'
_space_group_IT_number 1
_space_group_name_Hall 'P 1'
loop_
_atom_site_label
_atom_site_fract_x
_atom_site_fract_y
_atom_site_fract_z
K1 0.000 0.000 0.000
K2 0.500 0.500 0.000
Nb1 0.113 0.162 0.500
Nb2 0.121 0.666 0.000
Nb3 0.127 0.424 0.235
Nb4 0.127 0.424 0.765
Nb5 0.373 0.924 0.235
Nb6 0.373 0.924 0.765
Nb7 0.379 0.166 0.000
Nb8 0.387 0.662 0.500
Nb9 0.613 0.338 0.500
Nb10 0.621 0.834 0.000
Nb11 0.627 0.076 0.235
Nb12 0.627 0.076 0.765
Nb13 0.873 0.576 0.235
Nb14 0.873 0.576 0.765
Nb15 0.879 0.334 0.000
Nb16 0.887 0.838 0.500
O1 0.000 0.000 0.500
O2 0.000 0.500 0.500
O3 0.005 0.248 0.250
O4 0.005 0.248 0.750
O5 0.233 0.323 0.500
O6 0.246 0.843 0.000
O7 0.247 0.089 0.253
O8 0.247 0.089 0.747
O9 0.253 0.589 0.253
O10 0.253 0.589 0.747
O11 0.254 0.343 0.000
O12 0.267 0.823 0.500
O13 0.495 0.748 0.250
O14 0.495 0.748 0.750
O15 0.500 0.000 0.500
O16 0.500 0.500 0.500
O17 0.505 0.252 0.250
O18 0.505 0.252 0.750
O19 0.733 0.177 0.500
O20 0.746 0.657 0.000
O21 0.747 0.411 0.253
O22 0.747 0.411 0.747
O23 0.753 0.911 0.253
O24 0.753 0.911 0.747
O25 0.754 0.157 0.000
O26 0.767 0.677 0.500
O27 0.995 0.752 0.250
O28 0.995 0.752 0.750
```